Fe6O11F: theoretical XRD peak list (λ = 1.5418 Å (Cu Kα)), based on a DFT-relaxed cell (PBE+U, Alexandria).

Main lines, sorted by position (2θ = 10–90°):
2theta	Rel. int.
27.16	95.7
27.84	92.1
35.83	100.0
39.29	20.0
53.83	56.6
54.60	54.0
62.02	15.1
68.98	48.6

Atomic structure:
a = 5.4789 Å, b = 5.4789 Å, c = 7.0711 Å
α = 107.41°, β = 107.41°, γ = 73.62°
Positions (direct):
Fe  0.0000  0.0000  0.0000
Fe  0.2964  0.3530  0.8270
Fe  0.3076  0.3593  0.3357
Fe  0.6407  0.6924  0.6643
Fe  0.6470  0.7036  0.1730
Fe  0.9750  0.0250  0.5000
O  0.0001  0.6701  0.3334
O  0.0811  0.1217  0.2982
O  0.2130  0.2500  0.0408
O  0.2990  0.7010  0.0000
O  0.3299  0.9999  0.6666
O  0.4089  0.4614  0.6300
O  0.5386  0.5911  0.3700
O  0.6223  0.0563  0.3382
O  0.7500  0.7870  0.9592
O  0.8783  0.9189  0.7018
O  0.9437  0.3777  0.6618
F  0.6805  0.3195  0.0000